Theoretical powder XRD pattern
Compound: Na6Bi2B4SO16
Radiation: CuKα
Structure: the PBE geometry in Alexandria

Structure:
a b c (Å): 14.537 14.537 14.537
angles (deg): 90.00 90.00 90.00
Space group Fd-3 (No. 203, origin choice 2)
Unique sites:
Na (0.084, 0.375, 0.375) [48 per cell]
Bi (0.000, 0.000, 0.500) [16 per cell]
B (0.029, 0.029, 0.721) [32 per cell]
S (0.125, 0.125, 0.125) [8 per cell]
O (0.022, 0.287, 0.598) [96 per cell]
O (0.065, 0.065, 0.065) [32 per cell]

Peak list (10 most intense, 15 to 90 degrees two-theta, in order of rising 2θ)
2theta	d [Å]	I (rel.)	index
20.26	4.383	100	3 1 1
21.17	4.196	57	2 2 2
24.49	3.634	28	4 0 0
31.99	2.798	51	5 1 1
34.92	2.570	60	4 4 0
36.57	2.457	33	5 3 1
41.19	2.191	46	6 2 2
48.08	1.893	23	5 5 3
54.68	1.679	24	5 5 5
55.08	1.667	26	6 6 2